No. 1
The following is a simulated powder diffractogram of LaThNiI. It was derived from the GGA-PBE geometry in Alexandria, using Cu Kα, 1.54184 Å.
Kinematic intensities with the Lorentz-polarization factor, no thermal factor.

Structural model:
Lattice parameters (Å, degrees): 6.8046 4.4550 8.4386 90.00 107.33 90.00
Space group Cm (No. 8)
Inequivalent atoms, fractional coordinates:
La 0.0000 0.0000 0.0000 x2
Th 0.2327 0.0000 0.6348 x2
Ni 0.1158 0.5000 0.8010 x2
I 0.2689 0.5000 0.3205 x2

Principal peaks in the range 5° ≤ 2θ ≤ 70°, in order of rising 2θ:
(0 0 1), 2θ = 11.0°, rel. 28
(1 1 -1), 2θ = 24.9°, rel. 25
(1 1 1), 2θ = 28.3°, rel. 52
(1 1 -2), 2θ = 30.0°, rel. 100
(2 0 1), 2θ = 32.7°, rel. 33
(0 0 3), 2θ = 33.4°, rel. 24
(0 2 0), 2θ = 40.5°, rel. 32
(3 1 -1), 2θ = 44.9°, rel. 37



No. 2
The following is a simulated powder diffractogram of Mg4SnBi2. It was derived from the GGA-PBE geometry in Alexandria, using Cu Kα, 1.54184 Å.
Kinematic intensities with the Lorentz-polarization factor, no thermal factor.

Structural model:
Lattice parameters (Å, degrees): 6.6658 6.1346 9.1882 90.00 93.95 90.00
Space group P2_1/m (No. 11)
Inequivalent atoms, fractional coordinates:
Mg 0.0351 0.0083 0.2687 x4
Mg 0.3110 0.2500 0.5447 x2
Mg 0.4407 0.2500 0.2117 x2
Sn 0.3170 0.2500 0.8883 x2
Bi 0.2163 0.7500 0.0064 x2
Bi 0.2453 0.7500 0.5202 x2

Principal peaks in the range 5° ≤ 2θ ≤ 70°, in order of rising 2θ:
(0 0 2), 2θ = 19.4°, rel. 97
(1 1 0), 2θ = 19.7°, rel. 91
(2 0 0), 2θ = 26.8°, rel. 59
(1 1 -2), 2θ = 27.1°, rel. 100
(1 1 2), 2θ = 28.4°, rel. 67
(0 2 0), 2θ = 29.1°, rel. 78
(0 2 2), 2θ = 35.2°, rel. 73
(2 2 0), 2θ = 40.0°, rel. 63



No. 3
The following is a simulated powder diffractogram of LiPdAu. It was derived from the GGA-PBE geometry in Alexandria, using Cu Kα, 1.54184 Å.
Kinematic intensities with the Lorentz-polarization factor, no thermal factor.

Structural model:
Lattice parameters (Å, degrees): 8.4725 4.9015 5.3403 90.00 121.86 90.00
Space group C2 (No. 5)
Inequivalent atoms, fractional coordinates:
Li 0.1687 0.0000 0.0010 x4
Pd 0.0000 0.5011 0.0000 x2
Pd 0.0000 0.6683 0.5000 x2
Au 0.1671 0.1699 0.5018 x4

Principal peaks in the range 5° ≤ 2θ ≤ 70°, in order of rising 2θ:
(0 0 1), 2θ = 19.6°, rel. 51
(2 0 -1), 2θ = 22.0°, rel. 15
(1 1 -1), 2θ = 24.7°, rel. 11
(3 1 -1), 2θ = 36.7°, rel. 46
(0 0 2), 2θ = 39.7°, rel. 23
(0 2 1), 2θ = 41.9°, rel. 100
(3 1 1), 2θ = 55.2°, rel. 29
(3 3 -1), 2θ = 66.1°, rel. 10



No. 4
The following is a simulated powder diffractogram of Tb3Pm9Y2. It was derived from the GGA-PBE geometry in Alexandria, using Cu Kα, 1.54184 Å.
Kinematic intensities with the Lorentz-polarization factor, no thermal factor.

Structural model:
Lattice parameters (Å, degrees): 9.0658 9.0658 13.9555 90.00 90.00 120.00
Space group P6_3/m (No. 176)
Inequivalent atoms, fractional coordinates:
Tb 0.0801 0.2505 0.2500 x6
Pm 0.0821 0.4813 0.7500 x6
Pm 0.1320 0.7245 0.5425 x12
Y 0.3333 0.6667 0.1418 x4

Principal peaks in the range 5° ≤ 2θ ≤ 70°, in order of rising 2θ:
(0 0 4), 2θ = 25.5°, rel. 30
(2 0 3), 2θ = 29.8°, rel. 39
(2 1 1), 2θ = 30.8°, rel. 67
(2 1 2), 2θ = 32.8°, rel. 100
(1 0 5), 2θ = 34.1°, rel. 21
(2 1 3), 2θ = 35.9°, rel. 29
(1 4 0), 2θ = 53.5°, rel. 29
(1 4 4), 2θ = 60.2°, rel. 18



Repeat the first record exactly.
The following is a simulated powder diffractogram of LaThNiI. It was derived from the GGA-PBE geometry in Alexandria, using Cu Kα, 1.54184 Å.
Kinematic intensities with the Lorentz-polarization factor, no thermal factor.

Structural model:
Lattice parameters (Å, degrees): 6.8046 4.4550 8.4386 90.00 107.33 90.00
Space group Cm (No. 8)
Inequivalent atoms, fractional coordinates:
La 0.0000 0.0000 0.0000 x2
Th 0.2327 0.0000 0.6348 x2
Ni 0.1158 0.5000 0.8010 x2
I 0.2689 0.5000 0.3205 x2

Principal peaks in the range 5° ≤ 2θ ≤ 70°, in order of rising 2θ:
(0 0 1), 2θ = 11.0°, rel. 28
(1 1 -1), 2θ = 24.9°, rel. 25
(1 1 1), 2θ = 28.3°, rel. 52
(1 1 -2), 2θ = 30.0°, rel. 100
(2 0 1), 2θ = 32.7°, rel. 33
(0 0 3), 2θ = 33.4°, rel. 24
(0 2 0), 2θ = 40.5°, rel. 32
(3 1 -1), 2θ = 44.9°, rel. 37



Q: Number 2 is which compound?
A: Mg4SnBi2